Structure and computed X-ray diffraction stick pattern of Th4HgTe2P (DFT lattice parameters and positions (GGA-PBE); a wavelength of 1.5418 Å).
No peak broadening, texture or thermal motion is included.

Crystal structure
```
data_Th4HgTe2P
_chemical_formula_sum 'Th4 Hg1 Te2 P1'
_space_group_name_H-M_alt 'P 1'
_space_group_IT_number 1
_space_group_name_Hall 'P 1'
_cell_length_a 7.562
_cell_length_b 4.305
_cell_length_c 7.801
_cell_angle_alpha 90.00
_cell_angle_beta 108.53
_cell_angle_gamma 90.00
loop_
_atom_site_label
_atom_site_fract_x
_atom_site_fract_y
_atom_site_fract_z
_atom_site_occupancy
Th1 0.221 0.000 0.215 1
Th2 0.239 0.500 0.775 1
Th3 0.761 0.500 0.225 1
Th4 0.779 0.000 0.785 1
Hg1 0.500 0.000 0.000 1
Te1 0.000 0.000 0.500 1
Te2 0.500 0.500 0.500 1
P1 0.000 0.500 0.000 1
```

Principal peaks in the range 5 to 70 degrees two-theta, sorted by position:
(1 1 -1), 25.14°, I = 8
(1 1 1), 28.71°, I = 100
(2 0 2), 40.21°, I = 12
(1 1 -3), 40.54°, I = 24
(3 1 -1), 41.52°, I = 25
(0 2 0), 41.98°, I = 13
(4 0 0), 50.94°, I = 6
(2 2 -2), 51.60°, I = 16
(2 2 2), 59.52°, I = 11
(1 3 1), 68.67°, I = 6